Diffraction record for UCu5Sn. The powder X-ray diffraction pattern is calculated, not measured: it uses a structure optimized by DFT (GGA-PBE) and Cu Kα (weighted mean of Kα1 and Kα2).
Kinematic intensities with the Lorentz-polarization factor, no thermal factor.

Atomic structure:
```
UCu5Sn
1.0
4.989 0.000 0.000
-2.495 4.321 0.000
0.000 0.000 20.399
U Cu Sn
4 20 4
Direct
0.000 0.000 0.000
0.000 0.000 0.500
0.333 0.667 0.250
0.667 0.333 0.750
0.000 0.000 0.250
0.000 0.000 0.750
0.166 0.333 0.648
0.166 0.333 0.852
0.166 0.834 0.648
0.166 0.834 0.852
0.333 0.166 0.148
0.333 0.166 0.352
0.333 0.667 0.544
0.333 0.667 0.750
0.333 0.667 0.956
0.667 0.333 0.044
0.667 0.333 0.250
0.667 0.333 0.456
0.667 0.834 0.648
0.667 0.834 0.852
0.834 0.166 0.148
0.834 0.166 0.352
0.834 0.667 0.148
0.834 0.667 0.352
0.333 0.667 0.085
0.333 0.667 0.415
0.667 0.333 0.585
0.667 0.333 0.915
```

Top 8 peaks for 5° ≤ 2θ ≤ 70°, low angle first:
(1 0 2), 2θ = 22.35°, intensity 26; (1 0 6), 2θ = 33.54°, intensity 82; (1 1 0), 2θ = 36.00°, intensity 100; (1 0 7), 2θ = 37.22°, intensity 41; (1 1 4), 2θ = 40.25°, intensity 86; (2 0 1), 2θ = 42.06°, intensity 46; (1 1 6), 2θ = 45.10°, intensity 47; (2 1 6), 2θ = 63.16°, intensity 27